Record 1
Tl2Pd3S2: theoretical powder X-ray diffraction pattern (Cu Kα, 1.54184 Å), based on a crystal structure in the Materials Project, relaxed with GGA-PBE.
Neutral-atom scattering factors, no anomalous dispersion.

Crystal structure
```
data_Tl2Pd3S2
_symmetry_space_group_name_H-M 'R -3 m'
_symmetry_Int_Tables_number 166
_symmetry_space_group_name_Hall '-R 3 2"'
_cell_length_a 5.9828
_cell_length_b 5.9828
_cell_length_c 14.1497
_cell_angle_alpha 90.00
_cell_angle_beta 90.00
_cell_angle_gamma 120.00
loop_
_atom_site_label
_atom_site_type_symbol
_atom_site_fract_x
_atom_site_fract_y
_atom_site_fract_z
Tl1 Tl 0.0000 0.0000 0.0000
Tl2 Tl 0.0000 0.0000 0.5000
Pd1 Pd 0.0000 0.5000 0.0000
S1 S 0.0000 0.0000 0.2209
```

Main lines, most intense first (10° ≤ 2θ ≤ 90°):
| 2θ (°) | Rel. int. | h k l |
| --- | --- | --- |
| 36.95 | 100 | 2 0 2 |
| 43.29 | 87 | 0 2 4 |
| 29.87 | 51 | 1 1 0 |
| 21.26 | 44 | 0 1 2 |
| 30.60 | 43 | 1 0 4 |
| 18.81 | 35 | 0 0 3 |
| 38.16 | 33 | 0 0 6 |
| 62.05 | 31 | 2 2 0 |
| 35.22 | 29 | 0 2 1 |
| 75.23 | 28 | 2 2 6 |

***

Record 2
U2PdS4: theoretical powder X-ray diffraction pattern (Cu Kα, 1.54184 Å), based on a crystal structure in the Materials Project, relaxed with GGA-PBE.
Neutral-atom scattering factors, no anomalous dispersion.

Crystal structure
```
data_U2PdS4
_symmetry_space_group_name_H-M 'F d d 2'
_symmetry_Int_Tables_number 43
_symmetry_space_group_name_Hall 'F 2 -2d'
_cell_length_a 10.6306
_cell_length_b 13.1944
_cell_length_c 8.2322
_cell_angle_alpha 90.00
_cell_angle_beta 90.00
_cell_angle_gamma 90.00
loop_
_atom_site_label
_atom_site_type_symbol
_atom_site_fract_x
_atom_site_fract_y
_atom_site_fract_z
U1 U 0.0515 0.2765 0.0000
Pd1 Pd 0.0000 0.0000 0.3943
S1 S 0.0301 0.3730 0.2933
S2 S 0.0796 0.3624 0.7000
```

Main lines, most intense first (10° ≤ 2θ ≤ 90°):
| 2θ (°) | Rel. int. | h k l |
| --- | --- | --- |
| 25.51 | 100 | 0 2 2 |
| 28.24 | 71 | 3 1 1 |
| 38.87 | 65 | 2 4 2 |
| 34.27 | 58 | 3 3 1 |
| 15.18 | 54 | 1 1 1 |
| 27.41 | 53 | 2 0 2 |
| 21.47 | 52 | 2 2 0 |
| 49.46 | 41 | 2 2 4 |
| 36.75 | 39 | 1 5 1 |
| 44.18 | 34 | 3 5 1 |

***

Record 3
YPd3S4: theoretical powder X-ray diffraction pattern (Cu Kα, 1.54184 Å), based on a crystal structure in the Materials Project, relaxed with GGA-PBE.
Neutral-atom scattering factors, no anomalous dispersion.

Crystal structure
```
data_YPd3S4
_symmetry_space_group_name_H-M 'P m -3 n'
_symmetry_Int_Tables_number 223
_symmetry_space_group_name_Hall '-P 4n 2 3'
_cell_length_a 6.7151
_cell_length_b 6.7151
_cell_length_c 6.7151
_cell_angle_alpha 90.00
_cell_angle_beta 90.00
_cell_angle_gamma 90.00
loop_
_atom_site_label
_atom_site_type_symbol
_atom_site_fract_x
_atom_site_fract_y
_atom_site_fract_z
Y1 Y 0.0000 0.0000 0.0000
Pd1 Pd 0.0000 0.2500 0.5000
S1 S 0.2500 0.2500 0.2500
```

Main lines, most intense first (10° ≤ 2θ ≤ 90°):
| 2θ (°) | Rel. int. | h k l |
| --- | --- | --- |
| 29.75 | 100 | 2 1 0 |
| 32.66 | 66 | 2 1 1 |
| 50.88 | 37 | 3 2 1 |
| 54.67 | 27 | 4 0 0 |
| 46.87 | 26 | 2 2 2 |
| 48.90 | 25 | 3 2 0 |
| 63.48 | 22 | 4 2 1 |
| 76.38 | 19 | 5 2 0 |
| 81.00 | 17 | 4 4 0 |
| 77.92 | 10 | 5 2 1 |

***

Record 4
SbPd: theoretical powder X-ray diffraction pattern (Cu Kα, 1.54184 Å), based on a crystal structure in the Materials Project, relaxed with GGA-PBE.
Neutral-atom scattering factors, no anomalous dispersion.

Crystal structure
```
data_SbPd
_symmetry_space_group_name_H-M 'P 63/m m c'
_symmetry_Int_Tables_number 194
_symmetry_space_group_name_Hall '-P 6c 2c'
_cell_length_a 4.1438
_cell_length_b 4.1438
_cell_length_c 5.6817
_cell_angle_alpha 90.00
_cell_angle_beta 90.00
_cell_angle_gamma 120.00
loop_
_atom_site_label
_atom_site_type_symbol
_atom_site_fract_x
_atom_site_fract_y
_atom_site_fract_z
Sb1 Sb 0.3333 0.6667 0.2500
Pd1 Pd 0.0000 0.0000 0.0000
```

Main lines, most intense first (10° ≤ 2θ ≤ 90°):
| 2θ (°) | Rel. int. | h k l |
| --- | --- | --- |
| 40.50 | 100 | 1 0 2 |
| 29.44 | 92 | 1 0 1 |
| 43.69 | 74 | 1 1 0 |
| 61.08 | 29 | 2 0 2 |
| 78.07 | 28 | 2 1 2 |
| 82.30 | 23 | 1 1 4 |
| 53.56 | 17 | 2 0 1 |
| 54.81 | 16 | 1 0 3 |
| 71.50 | 15 | 2 1 1 |
| 24.81 | 15 | 1 0 0 |

***

Record 5
Sb7Pd20: theoretical powder X-ray diffraction pattern (Cu Kα, 1.54184 Å), based on a crystal structure in the Materials Project, relaxed with GGA-PBE.
Neutral-atom scattering factors, no anomalous dispersion.

Crystal structure
```
data_Sb7Pd20
_symmetry_space_group_name_H-M 'R -3'
_symmetry_Int_Tables_number 148
_symmetry_space_group_name_Hall '-R 3'
_cell_length_a 11.9265
_cell_length_b 11.9265
_cell_length_c 11.2052
_cell_angle_alpha 90.00
_cell_angle_beta 90.00
_cell_angle_gamma 120.00
loop_
_atom_site_label
_atom_site_type_symbol
_atom_site_fract_x
_atom_site_fract_y
_atom_site_fract_z
Sb1 Sb 0.0000 0.0000 0.0000
Sb2 Sb 0.0393 0.8084 0.6857
Pd1 Pd 0.0000 0.0000 0.3770
Pd2 Pd 0.0275 0.7854 0.4494
Pd3 Pd 0.0364 0.8489 0.1884
Pd4 Pd 0.0477 0.7960 0.9404
```

Main lines, most intense first (10° ≤ 2θ ≤ 90°):
| 2θ (°) | Rel. int. | h k l |
| --- | --- | --- |
| 40.00 | 100 | 4 1 0 |
| 39.60 | 86 | 3 -1 4 |
| 36.49 | 17 | 0 2 4 |
| 45.28 | 16 | 1 3 4 |
| 57.55 | 12 | 2 4 4 |
| 38.38 | 12 | 0 4 2 |
| 72.39 | 12 | 7 0 4 |
| 72.66 | 9 | 3 6 0 |
| 35.19 | 9 | 3 1 2 |
| 71.57 | 8 | 3 -2 8 |

***

Record 6
Sb3Pd8: theoretical powder X-ray diffraction pattern (Cu Kα, 1.54184 Å), based on a crystal structure in the Materials Project, relaxed with GGA-PBE.
Neutral-atom scattering factors, no anomalous dispersion.

Crystal structure
```
data_Sb3Pd8
_symmetry_space_group_name_H-M 'R -3 c'
_symmetry_Int_Tables_number 167
_symmetry_space_group_name_Hall '-R 3 2"c'
_cell_length_a 7.7175
_cell_length_b 7.7175
_cell_length_c 43.8317
_cell_angle_alpha 90.00
_cell_angle_beta 90.00
_cell_angle_gamma 120.00
loop_
_atom_site_label
_atom_site_type_symbol
_atom_site_fract_x
_atom_site_fract_y
_atom_site_fract_z
Sb1 Sb 0.0000 0.0000 0.0000
Sb2 Sb 0.0000 0.0000 0.1563
Sb3 Sb 0.0000 0.3171 0.2500
Pd1 Pd 0.0000 0.0000 0.0619
Pd2 Pd 0.0000 0.0000 0.2182
Pd3 Pd 0.0034 0.2591 0.1150
Pd4 Pd 0.0046 0.3617 0.8511
```

Main lines, most intense first (10° ≤ 2θ ≤ 90°):
| 2θ (°) | Rel. int. | h k l |
| --- | --- | --- |
| 40.49 | 100 | 3 0 0 |
| 38.65 | 95 | 1 1 15 |
| 39.44 | 21 | 2 0 14 |
| 46.17 | 18 | 1 2 14 |
| 43.97 | 18 | 1 1 18 |
| 35.60 | 16 | 2 1 1 |
| 76.07 | 15 | 4 1 18 |
| 57.22 | 14 | 2 2 15 |
| 72.42 | 11 | 4 1 15 |
| 78.25 | 11 | 3 0 30 |

***

Record 7
SbPd2: theoretical powder X-ray diffraction pattern (Cu Kα, 1.54184 Å), based on a crystal structure in the Materials Project, relaxed with GGA-PBE.
Neutral-atom scattering factors, no anomalous dispersion.

Crystal structure
```
data_SbPd2
_symmetry_space_group_name_H-M 'C m c 21'
_symmetry_Int_Tables_number 36
_cell_length_a 3.4635
_cell_length_b 17.7598
_cell_length_c 7.0352
_cell_angle_alpha 90.00
_cell_angle_beta 90.00
_cell_angle_gamma 90.00
loop_
_symmetry_equiv_pos_as_xyz
'x,y,z'
'-x,-y,z+1/2'
'-x,y,z'
'x,-y,z+1/2'
'x+1/2,y+1/2,z'
'-x+1/2,-y+1/2,z+1/2'
'-x+1/2,y+1/2,z'
'x+1/2,-y+1/2,z+1/2'
loop_
_atom_site_label
_atom_site_type_symbol
_atom_site_fract_x
_atom_site_fract_y
_atom_site_fract_z
Sb1 Sb 0.0000 0.0569 0.0000
Sb2 Sb 0.0000 0.2943 0.9689
Pd1 Pd 0.0000 0.0870 0.3709
Pd2 Pd 0.0000 0.1698 0.7436
Pd3 Pd 0.0000 0.3250 0.5909
Pd4 Pd 0.0000 0.4616 0.1941
```

Main lines, most intense first (10° ≤ 2θ ≤ 90°):
| 2θ (°) | Rel. int. | h k l |
| --- | --- | --- |
| 39.56 | 100 | 1 3 2 |
| 38.49 | 93 | 1 5 1 |
| 39.77 | 67 | 0 2 3 |
| 32.54 | 46 | 1 3 1 |
| 43.65 | 46 | 0 4 3 |
| 36.23 | 45 | 1 5 0 |
| 36.77 | 42 | 1 1 2 |
| 52.87 | 38 | 2 0 0 |
| 40.64 | 32 | 0 8 0 |
| 42.71 | 32 | 0 8 1 |

***

Record 8
SbPd3: theoretical powder X-ray diffraction pattern (Cu Kα, 1.54184 Å), based on a crystal structure in the Materials Project, relaxed with GGA-PBE.
Neutral-atom scattering factors, no anomalous dispersion.

Crystal structure
```
data_SbPd3
_symmetry_space_group_name_H-M 'F m -3 m'
_symmetry_Int_Tables_number 225
_symmetry_space_group_name_Hall '-F 4 2 3'
_cell_length_a 6.4482
_cell_length_b 6.4482
_cell_length_c 6.4482
_cell_angle_alpha 90.00
_cell_angle_beta 90.00
_cell_angle_gamma 90.00
loop_
_atom_site_label
_atom_site_type_symbol
_atom_site_fract_x
_atom_site_fract_y
_atom_site_fract_z
Sb1 Sb 0.0000 0.0000 0.0000
Pd1 Pd 0.0000 0.0000 0.5000
Pd2 Pd 0.2500 0.2500 0.2500
```

Main lines, most intense first (10° ≤ 2θ ≤ 90°):
| 2θ (°) | Rel. int. | h k l |
| --- | --- | --- |
| 39.53 | 100 | 2 2 0 |
| 71.70 | 33 | 4 2 2 |
| 57.14 | 17 | 4 0 0 |
| 85.11 | 11 | 4 4 0 |

***

Record 9
SbPd3: theoretical powder X-ray diffraction pattern (Cu Kα, 1.54184 Å), based on a crystal structure in the Materials Project, relaxed with GGA-PBE.
Neutral-atom scattering factors, no anomalous dispersion.

Crystal structure
```
data_SbPd3
_symmetry_space_group_name_H-M 'P m -3 m'
_symmetry_Int_Tables_number 221
_symmetry_space_group_name_Hall '-P 4 2 3'
_cell_length_a 4.0622
_cell_length_b 4.0622
_cell_length_c 4.0622
_cell_angle_alpha 90.00
_cell_angle_beta 90.00
_cell_angle_gamma 90.00
loop_
_atom_site_label
_atom_site_type_symbol
_atom_site_fract_x
_atom_site_fract_y
_atom_site_fract_z
Sb1 Sb 0.0000 0.0000 0.0000
Pd1 Pd 0.0000 0.5000 0.5000
```

Main lines, most intense first (10° ≤ 2θ ≤ 90°):
| 2θ (°) | Rel. int. | h k l |
| --- | --- | --- |
| 38.38 | 100 | 1 1 1 |
| 44.61 | 49 | 2 0 0 |
| 78.02 | 36 | 3 1 1 |
| 64.93 | 31 | 2 2 0 |
| 82.21 | 11 | 2 2 2 |